[1]
Starting from a DFT-relaxed cell (GGA-PBE, the Materials Project), the X-ray powder pattern of Y2Ga3Cu was calculated for Cu Ka.
Lines closer than 0.1° are merged.

Top 10 peaks for 10 to 90 degrees two-theta, most intense first:
| 2θ/deg | I/Imax | hkl |
| --- | --- | --- |
| 34.1 | 100 | 1 0 2 |
| 41.3 | 67 | 1 1 0 |
| 54.6 | 25 | 0 2 2 |
| 70.7 | 22 | 2 1 2 |
| 66.8 | 18 | 1 1 4 |
| 44.3 | 12 | 0 1 3 |
| 75.3 | 11 | 3 0 0 |
| 50.0 | 7 | 0 0 4 |
| 89.7 | 7 | 2 2 0 |
| 26.5 | 6 | 1 0 1 |

Structural model:
```
data_Y2Ga3Cu
_chemical_formula_sum 'Y2 Ga3 Cu1'
_cell_length_a 4.3732
_cell_length_b 4.3732
_cell_length_c 7.2969
_cell_angle_alpha 90.00
_cell_angle_beta 90.00
_cell_angle_gamma 120.00
_symmetry_space_group_name_H-M 'P 3 m 1'
_symmetry_Int_Tables_number 156
_symmetry_space_group_name_Hall 'P 3 -2"'
loop_
_atom_site_label
_atom_site_fract_x
_atom_site_fract_y
_atom_site_fract_z
Y1 0.0000 0.0000 0.0000
Y2 0.0000 0.0000 0.4681
Ga1 0.3333 0.6667 0.7745
Ga2 0.6667 0.3333 0.2496
Ga3 0.6667 0.3333 0.6902
Cu1 0.3333 0.6667 0.2038
```



[2]
Starting from a DFT-relaxed cell (GGA-PBE, the Materials Project), the X-ray powder pattern of Y3Ga7Cu4 was calculated for Cu Ka.
Lines closer than 0.1° are merged.

Top 10 peaks for 10 to 90 degrees two-theta, most intense first:
| 2θ/deg | I/Imax | hkl |
| --- | --- | --- |
| 36.0 | 100 | 1 1 2 |
| 36.1 | 98 | 5 1 -2 |
| 43.2 | 67 | 0 2 0 |
| 38.7 | 40 | 5 1 -3 |
| 35.7 | 39 | 3 1 -3 |
| 44.0 | 36 | 6 0 0 |
| 44.7 | 31 | 3 1 -4 |
| 37.4 | 29 | 3 1 1 |
| 63.3 | 25 | 6 2 0 |
| 74.5 | 19 | 1 3 2 |

Structural model:
```
data_Y3Ga7Cu4
_chemical_formula_sum 'Y6 Ga14 Cu8'
_cell_length_a 15.506
_cell_length_b 4.192
_cell_length_c 9.419
_cell_angle_alpha 90.00
_cell_angle_beta 127.15
_cell_angle_gamma 90.00
_symmetry_space_group_name_H-M 'C 1 2/m 1'
_symmetry_Int_Tables_number 12
_symmetry_space_group_name_Hall '-C 2y'
loop_
_atom_site_label
_atom_site_fract_x
_atom_site_fract_y
_atom_site_fract_z
Y1 0.000 0.000 0.000
Y2 0.196 0.500 0.701
Ga1 0.000 0.000 0.500
Ga2 0.139 0.000 0.418
Ga3 0.141 0.000 0.869
Ga4 0.155 0.500 0.277
Cu1 0.001 0.500 0.306
Cu2 0.157 0.500 0.018
```



[3]
Starting from a DFT-relaxed cell (GGA-PBE, the Materials Project), the X-ray powder pattern of Y3Ga9Cu2 was calculated for Cu Ka.
Lines closer than 0.1° are merged.

Top 10 peaks for 10 to 90 degrees two-theta, most intense first:
| 2θ/deg | I/Imax | hkl |
| --- | --- | --- |
| 35.6 | 100 | 1 2 3 |
| 43.1 | 38 | 2 0 0 |
| 34.3 | 29 | 1 3 0 |
| 44.7 | 19 | 0 0 6 |
| 37.4 | 18 | 1 3 2 |
| 34.8 | 17 | 0 3 3 |
| 45.8 | 16 | 1 3 4 |
| 42.7 | 14 | 1 4 1 |
| 63.8 | 13 | 2 0 6 |
| 34.5 | 11 | 0 2 4 |

Structural model:
```
data_Y3Ga9Cu2
_chemical_formula_sum 'Y6 Ga18 Cu4'
_cell_length_a 4.202
_cell_length_b 10.015
_cell_length_c 12.167
_cell_angle_alpha 90.00
_cell_angle_beta 90.00
_cell_angle_gamma 90.00
_symmetry_space_group_name_H-M 'I m m m'
_symmetry_Int_Tables_number 71
_symmetry_space_group_name_Hall '-I 2 2'
loop_
_atom_site_label
_atom_site_fract_x
_atom_site_fract_y
_atom_site_fract_z
Y1 0.000 0.000 0.000
Y2 0.000 0.000 0.316
Ga1 0.000 0.279 0.133
Ga2 0.000 0.371 0.341
Ga3 0.000 0.500 0.000
Cu1 0.000 0.212 0.500
```



[4]
Starting from a DFT-relaxed cell (GGA-PBE, the Materials Project), the X-ray powder pattern of ZrGaCu was calculated for Cu Ka.
Lines closer than 0.1° are merged.

Top 10 peaks for 10 to 90 degrees two-theta, most intense first:
| 2θ/deg | I/Imax | hkl |
| --- | --- | --- |
| 37.1 | 100 | 1 0 2 |
| 42.6 | 69 | 1 1 0 |
| 57.8 | 26 | 2 0 2 |
| 73.9 | 25 | 1 1 4 |
| 74.3 | 24 | 2 1 2 |
| 78.0 | 11 | 3 0 0 |
| 57.3 | 9 | 0 0 4 |
| 51.6 | 3 | 1 1 2 |
| 27.7 | 3 | 0 0 2 |
| 24.2 | 3 | 1 0 0 |

Structural model:
```
data_ZrGaCu
_chemical_formula_sum 'Zr2 Ga2 Cu2'
_cell_length_a 4.2458
_cell_length_b 4.2458
_cell_length_c 6.4367
_cell_angle_alpha 90.00
_cell_angle_beta 90.00
_cell_angle_gamma 120.00
_symmetry_space_group_name_H-M 'P 63/m m c'
_symmetry_Int_Tables_number 194
_symmetry_space_group_name_Hall '-P 6c 2c'
loop_
_atom_site_label
_atom_site_fract_x
_atom_site_fract_y
_atom_site_fract_z
Zr1 0.0000 0.0000 0.0000
Ga1 0.3333 0.6667 0.2500
Cu1 0.3333 0.6667 0.7500
```



[5]
Starting from a DFT-relaxed cell (GGA-PBE, the Materials Project), the X-ray powder pattern of ZrGaCu was calculated for Cu Ka.
Lines closer than 0.1° are merged.

Top 10 peaks for 10 to 90 degrees two-theta, most intense first:
| 2θ/deg | I/Imax | hkl |
| --- | --- | --- |
| 36.7 | 100 | 0 1 2 |
| 42.6 | 75 | 1 1 0 |
| 57.4 | 26 | 2 0 2 |
| 74.1 | 24 | 1 2 2 |
| 72.9 | 15 | 1 1 4 |
| 48.4 | 13 | 1 0 3 |
| 77.9 | 12 | 3 0 0 |
| 27.8 | 7 | 0 1 1 |
| 56.1 | 6 | 0 0 4 |
| 77.2 | 6 | 0 1 5 |

Structural model:
```
data_ZrGaCu
_chemical_formula_sum 'Zr2 Ga2 Cu2'
_cell_length_a 4.2473
_cell_length_b 4.2473
_cell_length_c 6.5598
_cell_angle_alpha 90.00
_cell_angle_beta 90.00
_cell_angle_gamma 120.00
_symmetry_space_group_name_H-M 'P -3 m 1'
_symmetry_Int_Tables_number 164
_symmetry_space_group_name_Hall '-P 3 2"'
loop_
_atom_site_label
_atom_site_fract_x
_atom_site_fract_y
_atom_site_fract_z
Zr1 0.0000 0.0000 0.2288
Ga1 0.3333 0.6667 0.4590
Cu1 0.3333 0.6667 0.0254
```



[6]
Starting from a DFT-relaxed cell (GGA-PBE, the Materials Project), the X-ray powder pattern of GdCu was calculated for Cu Ka.
Lines closer than 0.1° are merged.

Top 9 peaks for 10 to 90 degrees two-theta, most intense first:
| 2θ/deg | I/Imax | hkl |
| --- | --- | --- |
| 36.2 | 100 | 1 1 0 |
| 65.2 | 35 | 2 1 1 |
| 25.4 | 18 | 1 0 0 |
| 52.2 | 17 | 2 0 0 |
| 88.1 | 15 | 3 1 0 |
| 76.9 | 11 | 2 2 0 |
| 58.9 | 8 | 2 1 0 |
| 44.8 | 5 | 1 1 1 |
| 82.5 | 4 | 3 0 0 |

Structural model:
```
data_GdCu
_chemical_formula_sum 'Gd1 Cu1'
_cell_length_a 3.506
_cell_length_b 3.506
_cell_length_c 3.506
_cell_angle_alpha 90.00
_cell_angle_beta 90.00
_cell_angle_gamma 90.00
_symmetry_space_group_name_H-M 'P m -3 m'
_symmetry_Int_Tables_number 221
_symmetry_space_group_name_Hall '-P 4 2 3'
loop_
_atom_site_label
_atom_site_fract_x
_atom_site_fract_y
_atom_site_fract_z
Gd1 0.000 0.000 0.000
Cu1 0.500 0.500 0.500
```



[7]
Starting from a DFT-relaxed cell (GGA-PBE, the Materials Project), the X-ray powder pattern of GdCuGe was calculated for Cu Ka.
Lines closer than 0.1° are merged.

Top 10 peaks for 10 to 90 degrees two-theta, most intense first:
| 2θ/deg | I/Imax | hkl |
| --- | --- | --- |
| 34.1 | 100 | 1 0 2 |
| 42.4 | 48 | 1 1 0 |
| 55.4 | 25 | 2 0 2 |
| 66.4 | 22 | 1 1 4 |
| 72.2 | 22 | 2 1 2 |
| 24.1 | 16 | 1 0 0 |
| 48.6 | 10 | 0 0 4 |
| 77.5 | 8 | 3 0 0 |
| 81.3 | 7 | 1 0 6 |
| 54.9 | 4 | 1 0 4 |

Structural model:
```
data_GdCuGe
_chemical_formula_sum 'Gd2 Cu2 Ge2'
_cell_length_a 4.2675
_cell_length_b 4.2675
_cell_length_c 7.4957
_cell_angle_alpha 90.00
_cell_angle_beta 90.00
_cell_angle_gamma 120.00
_symmetry_space_group_name_H-M 'P 63 m c'
_symmetry_Int_Tables_number 186
_symmetry_space_group_name_Hall 'P 6c -2c'
loop_
_atom_site_label
_atom_site_fract_x
_atom_site_fract_y
_atom_site_fract_z
Gd1 0.0000 0.0000 0.0000
Cu1 0.3333 0.6667 0.2323
Ge1 0.3333 0.6667 0.7675
```



[8]
Starting from a DFT-relaxed cell (GGA-PBE, the Materials Project), the X-ray powder pattern of Gd2CuGe2O8 was calculated for Cu Ka.
Lines closer than 0.1° are merged.

Top 10 peaks for 10 to 90 degrees two-theta, most intense first:
| 2θ/deg | I/Imax | hkl |
| --- | --- | --- |
| 28.0 | 100 | 1 1 1 |
| 34.1 | 97 | 1 5 -1 |
| 28.3 | 96 | 3 1 -1 |
| 31.9 | 89 | 2 4 0 |
| 47.6 | 47 | 0 4 2 |
| 48.0 | 46 | 4 4 -2 |
| 34.7 | 44 | 2 0 -2 |
| 24.6 | 40 | 1 3 -1 |
| 61.8 | 38 | 3 5 -3 |
| 43.5 | 38 | 4 0 0 |

Structural model:
```
data_Gd2CuGe2O8
_chemical_formula_sum 'Gd8 Cu4 Ge8 O32'
_cell_length_a 9.737
_cell_length_b 15.236
_cell_length_c 5.177
_cell_angle_alpha 90.00
_cell_angle_beta 121.34
_cell_angle_gamma 90.00
_symmetry_space_group_name_H-M 'C 1 m 1'
_symmetry_Int_Tables_number 8
_symmetry_space_group_name_Hall 'C -2y'
loop_
_atom_site_label
_atom_site_fract_x
_atom_site_fract_y
_atom_site_fract_z
Gd1 0.000 0.120 0.000
Gd2 0.496 0.121 0.505
Cu1 0.286 0.207 0.805
Ge1 0.241 0.290 0.264
Ge2 0.252 0.500 0.207
Ge3 0.256 0.000 0.807
O1 0.060 0.266 0.257
O2 0.084 0.000 0.846
O3 0.085 0.500 0.831
O4 0.245 0.172 0.110
O5 0.251 0.329 0.941
O6 0.253 0.408 0.425
O7 0.261 0.094 0.601
O8 0.410 0.259 0.630
O9 0.421 0.000 0.191
O10 0.425 0.500 0.173
```



[9]
Starting from a DFT-relaxed cell (GGA-PBE, the Materials Project), the X-ray powder pattern of Sr2GdCu2HgO7 was calculated for Cu Ka.
Lines closer than 0.1° are merged.

Top 10 peaks for 10 to 90 degrees two-theta, most intense first:
| 2θ/deg | I/Imax | hkl |
| --- | --- | --- |
| 32.1 | 100 | 1 0 3 |
| 33.0 | 60 | 1 1 0 |
| 58.3 | 37 | 2 1 3 |
| 47.4 | 30 | 2 0 0 |
| 24.3 | 27 | 1 0 1 |
| 56.5 | 19 | 1 1 6 |
| 14.5 | 15 | 0 0 2 |
| 44.7 | 15 | 1 1 4 |
| 78.9 | 10 | 3 1 0 |
| 67.1 | 10 | 2 0 6 |

Structural model:
```
data_Sr2GdCu2HgO7
_chemical_formula_sum 'Sr2 Gd1 Cu2 Hg1 O7'
_cell_length_a 3.838
_cell_length_b 3.838
_cell_length_c 12.201
_cell_angle_alpha 90.00
_cell_angle_beta 90.00
_cell_angle_gamma 90.00
_symmetry_space_group_name_H-M 'P 4/m m m'
_symmetry_Int_Tables_number 123
_symmetry_space_group_name_Hall '-P 4 2'
loop_
_atom_site_label
_atom_site_fract_x
_atom_site_fract_y
_atom_site_fract_z
Sr1 0.000 0.000 0.199
Gd1 0.000 0.000 0.500
Cu1 0.500 0.500 0.356
Hg1 0.500 0.500 0.000
O1 0.000 0.000 0.000
O2 0.000 0.500 0.379
O3 0.500 0.500 0.175
```



[10]
Starting from a DFT-relaxed cell (GGA-PBE, the Materials Project), the X-ray powder pattern of LaGdCu4Sn4 was calculated for Cu Ka.
Lines closer than 0.1° are merged.

Top 10 peaks for 10 to 90 degrees two-theta, most intense first:
| 2θ/deg | I/Imax | hkl |
| --- | --- | --- |
| 32.9 | 100 | 1 1 2 |
| 40.2 | 67 | 2 0 0 |
| 32.2 | 61 | 1 0 3 |
| 52.4 | 31 | 2 1 3 |
| 47.3 | 25 | 1 0 5 |
| 68.4 | 24 | 3 1 2 |
| 58.1 | 23 | 2 2 0 |
| 44.4 | 21 | 1 1 4 |
| 63.7 | 20 | 2 1 5 |
| 84.7 | 15 | 2 0 8 |

Structural model:
```
data_LaGdCu4Sn4
_chemical_formula_sum 'La1 Gd1 Cu4 Sn4'
_cell_length_a 4.490
_cell_length_b 4.490
_cell_length_c 10.638
_cell_angle_alpha 90.00
_cell_angle_beta 90.00
_cell_angle_gamma 90.00
_symmetry_space_group_name_H-M 'P 4 m m'
_symmetry_Int_Tables_number 99
_symmetry_space_group_name_Hall 'P 4 -2'
loop_
_atom_site_label
_atom_site_fract_x
_atom_site_fract_y
_atom_site_fract_z
La1 0.000 0.000 0.000
Gd1 0.500 0.500 0.475
Cu1 0.000 0.000 0.604
Cu2 0.000 0.500 0.240
Cu3 0.500 0.500 0.874
Sn1 0.000 0.000 0.367
Sn2 0.000 0.500 0.737
Sn3 0.500 0.500 0.113
```



[11]
Starting from a DFT-relaxed cell (GGA-PBE, the Materials Project), the X-ray powder pattern of Sr2GdMgCu2RuO8 was calculated for Cu Ka.
Lines closer than 0.1° are merged.

Top 10 peaks for 10 to 90 degrees two-theta, most intense first:
| 2θ/deg | I/Imax | hkl |
| --- | --- | --- |
| 31.8 | 100 | 1 1 0 |
| 35.8 | 87 | 1 0 4 |
| 30.6 | 68 | 1 0 3 |
| 45.6 | 67 | 2 0 0 |
| 59.3 | 38 | 2 1 4 |
| 41.6 | 37 | 1 0 5 |
| 42.6 | 35 | 1 1 4 |
| 13.7 | 33 | 0 0 2 |
| 23.4 | 31 | 1 0 1 |
| 55.9 | 25 | 2 1 3 |

Structural model:
```
data_Sr2GdMgCu2RuO8
_chemical_formula_sum 'Sr2 Gd1 Mg1 Cu2 Ru1 O8'
_cell_length_a 3.977
_cell_length_b 3.977
_cell_length_c 12.949
_cell_angle_alpha 90.00
_cell_angle_beta 90.00
_cell_angle_gamma 90.00
_symmetry_space_group_name_H-M 'P 4/m m m'
_symmetry_Int_Tables_number 123
_symmetry_space_group_name_Hall '-P 4 2'
loop_
_atom_site_label
_atom_site_fract_x
_atom_site_fract_y
_atom_site_fract_z
Sr1 0.000 0.000 0.244
Gd1 0.000 0.000 0.500
Mg1 0.000 0.000 0.000
Cu1 0.500 0.500 0.385
Ru1 0.500 0.500 0.000
O1 0.000 0.500 0.000
O2 0.000 0.500 0.383
O3 0.500 0.500 0.158
```



[12]
Starting from a DFT-relaxed cell (GGA-PBE, the Materials Project), the X-ray powder pattern of Sr2GdCu3Pb2O8 was calculated for Cu Ka.
Lines closer than 0.1° are merged.

Top 10 peaks for 10 to 90 degrees two-theta, most intense first:
| 2θ/deg | I/Imax | hkl |
| --- | --- | --- |
| 32.2 | 100 | 1 0 4 |
| 32.9 | 66 | 1 1 0 |
| 58.4 | 38 | 2 1 4 |
| 47.3 | 30 | 2 0 0 |
| 23.8 | 28 | 1 0 1 |
| 43.6 | 21 | 1 1 5 |
| 57.1 | 15 | 1 1 8 |
| 41.1 | 15 | 1 0 6 |
| 78.7 | 11 | 3 1 0 |
| 11.0 | 10 | 0 0 2 |

Structural model:
```
data_Sr2GdCu3Pb2O8
_chemical_formula_sum 'Sr2 Gd1 Cu3 Pb2 O8'
_cell_length_a 3.846
_cell_length_b 3.846
_cell_length_c 16.042
_cell_angle_alpha 90.00
_cell_angle_beta 90.00
_cell_angle_gamma 90.00
_symmetry_space_group_name_H-M 'P 4/m m m'
_symmetry_Int_Tables_number 123
_symmetry_space_group_name_Hall '-P 4 2'
loop_
_atom_site_label
_atom_site_fract_x
_atom_site_fract_y
_atom_site_fract_z
Sr1 0.000 0.000 0.222
Gd1 0.000 0.000 0.000
Cu1 0.000 0.000 0.500
Cu2 0.500 0.500 0.106
Pb1 0.500 0.500 0.388
O1 0.000 0.000 0.384
O2 0.000 0.500 0.094
O3 0.500 0.500 0.252
```